Diffraction record for Mn3NbO6. The powder diffractogram is theoretical, not measured: it uses a crystal structure in Alexandria, relaxed with GGA+U and Cu Kα, 1.54184 Å.
Kinematic intensities with the Lorentz-polarization factor, no thermal factor.

Largest 8 diffraction maxima, most intense first, 2θ from 10° to 90°:
32.3°, rel. 100.0
32.8°, rel. 84.8
48.6°, rel. 38.7
33.1°, rel. 35.8
34.5°, rel. 30.8
44.7°, rel. 26.4
56.7°, rel. 23.2
60.2°, rel. 20.2

```
20
Lattice="5.1939 0.0000 0.0000 0.0000 5.4083 0.0000 -5.0282 0.0000 8.1149" Properties=species:S:1:pos:R:3 pbc="T T T"
Mn 0.0000 0.0000 0.0000
Mn -2.5141 2.7041 4.0574
Mn -2.5875 0.2916 6.0349
Mn -0.0734 2.4125 1.9775
Mn 0.2390 2.9958 6.1374
Mn 2.7532 5.1166 2.0800
Nb 0.0828 0.0000 4.0574
Nb 2.5969 2.7041 0.0000
O -1.5418 1.0979 3.5630
O -4.0559 1.6062 7.6205
O -0.9678 3.7706 3.4127
O -3.4820 4.3418 7.4701
O 0.7313 0.3281 2.1929
O -1.7828 2.3760 6.2503
O 1.9485 3.0323 1.8646
O -0.5657 5.0801 5.9220
O 3.6476 1.0665 0.6448
O 1.1335 1.6376 4.7022
O 4.2216 3.8021 0.4944
O 1.7074 4.3103 4.5519
```

=====

Diffraction record for Mn5Nb2O12. The powder diffractogram is theoretical, not measured: it uses a crystal structure in Alexandria, relaxed with GGA+U and Cu Kα, 1.54184 Å.
Kinematic intensities with the Lorentz-polarization factor, no thermal factor.

Largest 8 diffraction maxima, most intense first, 2θ from 10° to 90°:
24.5°, rel. 100.0
10.3°, rel. 44.9
22.3°, rel. 33.8
30.0°, rel. 29.3
50.3°, rel. 21.2
35.0°, rel. 18.5
50.1°, rel. 17.3
35.4°, rel. 15.7

```
19
Lattice="5.9004 0.0000 0.0000 2.8881 5.1661 0.0000 1.4849 0.9041 8.5898" Properties=species:S:1:pos:R:3 pbc="T T T"
Mn 0.0000 0.0000 0.0000
Mn 3.1860 1.8897 6.5667
Mn 2.9206 1.7149 1.9163
Mn 7.3528 4.3553 6.6735
Mn 7.0874 4.1805 2.0231
Nb 4.2665 4.2721 4.1704
Nb 6.0070 1.7980 4.4193
O 3.1659 3.6514 5.7597
O 1.6410 0.9286 5.1727
O 2.5846 3.4699 0.9122
O 6.0111 5.5067 7.6985
O 5.5108 5.0267 2.7652
O 4.3083 2.5071 3.3815
O 5.9651 3.5630 5.2082
O 4.7626 1.0434 5.8245
O 4.2623 0.5635 0.8913
O 7.6888 2.6002 7.6776
O 8.6324 5.1415 3.4170
O 7.1075 2.4188 2.8301
```

=====

Diffraction record for Mn2Nb2O9. The powder diffractogram is theoretical, not measured: it uses a crystal structure in Alexandria, relaxed with GGA+U and Cu Kα, 1.54184 Å.
Kinematic intensities with the Lorentz-polarization factor, no thermal factor.

Largest 8 diffraction maxima, most intense first, 2θ from 10° to 90°:
24.1°, rel. 100.0
32.5°, rel. 70.8
20.6°, rel. 66.6
53.2°, rel. 63.6
36.1°, rel. 44.1
49.4°, rel. 26.6
65.0°, rel. 23.2
62.7°, rel. 23.2

```
26
Lattice="4.9722 0.0000 0.0000 -2.4861 4.3060 0.0000 0.0000 0.0000 14.3271" Properties=species:S:1:pos:R:3 pbc="T T T"
Mn 0.0000 2.8707 0.0000
Mn 0.0000 2.8707 7.1635
Mn 2.4861 1.4353 0.0000
Mn 2.4861 1.4353 7.1635
Nb 0.0000 0.0000 2.2512
Nb 0.0000 0.0000 4.9123
Nb 0.0000 0.0000 9.4148
Nb 0.0000 0.0000 12.0759
O -0.7284 1.2616 3.5818
O -0.8678 1.5031 8.2097
O -0.8678 1.5031 13.2809
O -1.6183 2.8029 1.0461
O -1.6183 2.8029 6.1174
O -1.7577 3.0445 10.7453
O 1.4567 0.0000 3.5818
O 0.7284 1.2616 10.7453
O 1.7356 0.0000 8.2097
O 1.7356 0.0000 13.2809
O 0.8678 1.5031 1.0461
O 0.8678 1.5031 6.1174
O 3.2365 0.0000 1.0461
O 3.2365 0.0000 6.1174
O 1.6183 2.8029 8.2097
O 1.6183 2.8029 13.2809
O 3.5154 0.0000 10.7453
O 1.7577 3.0445 3.5818
```

=====

Diffraction record for Mn3Nb6O11. The powder diffractogram is theoretical, not measured: it uses a crystal structure in Alexandria, relaxed with GGA+U and Cu Kα, 1.54184 Å.
Kinematic intensities with the Lorentz-polarization factor, no thermal factor.

Largest 8 diffraction maxima, most intense first, 2θ from 10° to 90°:
41.1°, rel. 100.0
35.6°, rel. 67.9
31.2°, rel. 67.0
11.4°, rel. 50.2
28.5°, rel. 48.1
60.1°, rel. 43.6
58.9°, rel. 41.7
16.6°, rel. 38.5

```
20
Lattice="6.1624 0.0000 0.0000 -3.0812 5.3368 0.0000 0.0000 0.0000 7.7450" Properties=species:S:1:pos:R:3 pbc="T T T"
Mn 0.0000 0.0000 0.0000
Mn 0.0000 3.5579 7.2046
Mn 3.0812 1.7789 0.5403
Nb 0.0000 1.6471 2.7251
Nb -1.6548 4.5133 2.7251
Nb 1.4264 0.8235 5.0199
Nb 1.6548 4.5133 2.7251
Nb 4.7360 0.8235 5.0199
Nb 3.0812 3.6897 5.0199
O -1.5406 2.6684 3.8725
O 0.0000 1.6657 6.3156
O -1.6386 4.5039 6.3156
O 1.4426 0.8329 1.4294
O 0.0000 3.5579 1.5229
O 3.0812 0.0000 3.8725
O 1.5406 2.6684 3.8725
O 3.0812 1.7789 6.2221
O 1.6386 4.5039 6.3156
O 4.7198 0.8329 1.4294
O 3.0812 3.6711 1.4294
```

=====

Diffraction record for MnNb3O8. The powder diffractogram is theoretical, not measured: it uses a crystal structure in Alexandria, relaxed with GGA+U and Cu Kα, 1.54184 Å.
Kinematic intensities with the Lorentz-polarization factor, no thermal factor.

Largest 8 diffraction maxima, most intense first, 2θ from 10° to 90°:
23.7°, rel. 100.0
26.8°, rel. 60.4
54.2°, rel. 43.0
13.3°, rel. 40.0
27.7°, rel. 33.2
46.1°, rel. 29.2
31.4°, rel. 26.9
31.2°, rel. 26.6

```
12
Lattice="6.5647 -1.9676 0.0000 6.5647 1.9676 0.0000 -1.9900 0.0000 6.6581" Properties=species:S:1:pos:R:3 pbc="T T T"
Mn 0.0000 0.0000 0.0000
Nb 0.0553 0.0000 3.8231
Nb 3.8487 0.0000 0.0550
Nb 3.9109 0.0000 3.9174
O 0.2186 0.0000 2.0316
O 0.0649 0.0000 6.0994
O 1.9681 0.0000 4.3002
O 3.7325 0.0000 2.0072
O 3.8911 0.0000 6.0864
O 6.0536 0.0000 4.0048
O 10.7454 0.0000 0.0413
O 11.0185 0.0000 4.1017
```

=====

Diffraction record for Mn2NbPbO6. The powder diffractogram is theoretical, not measured: it uses a crystal structure in Alexandria, relaxed with GGA+U and Cu Kα, 1.54184 Å.
Kinematic intensities with the Lorentz-polarization factor, no thermal factor.

Largest 8 diffraction maxima, most intense first, 2θ from 10° to 90°:
29.7°, rel. 100.0
30.2°, rel. 93.2
30.6°, rel. 87.5
32.0°, rel. 85.6
32.9°, rel. 76.5
33.3°, rel. 72.0
22.6°, rel. 59.0
21.4°, rel. 57.9

```
10
Lattice="5.3848 0.0000 0.0000 -2.5468 4.8276 0.0000 -0.0508 -2.9961 5.0599" Properties=species:S:1:pos:R:3 pbc="T T T"
Mn 0.0000 0.0000 0.0000
Mn 2.6286 -1.5444 2.7028
Nb 0.0132 0.1625 3.1299
Pb 2.6947 1.6728 1.0021
O -0.3477 1.4713 1.6113
O 1.0015 -1.3836 3.9540
O 1.5264 -0.3483 1.6792
O 0.9300 1.7865 3.8728
O 1.7582 3.7612 1.7703
O 3.7227 0.1822 4.0656
```